No. 1
Starting from a cell relaxed with GGA-PBE, the X-ray powder pattern of Tm4MnGe8 was simulated for λ = 1.5418 Å (Cu Kα).

The 10 most intense peaks (10° ≤ 2θ ≤ 90°), by intensity:
35.68°, rel. 100
43.82°, rel. 16
45.65°, rel. 14
25.07°, rel. 14
34.01°, rel. 13
41.09°, rel. 12
75.21°, rel. 11
65.13°, rel. 10
77.85°, rel. 9
27.42°, rel. 8

Atomic structure:
abc: 3.975 4.132 15.815
angles: 90.00 90.00 90.00
Sites, in units of the cell vectors:
Tm  0.000  0.000  0.000
Tm  0.000  0.500  0.489
Tm  0.500  0.000  0.788
Tm  0.500  0.500  0.287
Mn  0.000  0.500  0.703
Ge  0.000  0.000  0.332
Ge  0.000  0.000  0.629
Ge  0.000  0.500  0.141
Ge  0.000  0.500  0.854
Ge  0.500  0.000  0.146
Ge  0.500  0.000  0.441
Ge  0.500  0.500  0.622
Ge  0.500  0.500  0.960

No. 2
Starting from a cell relaxed with GGA-PBE, the X-ray powder pattern of TmMn5Ge3 was simulated for λ = 1.5418 Å (Cu Kα).

The 10 most intense peaks (10° ≤ 2θ ≤ 90°), by intensity:
39.89°, rel. 100
33.77°, rel. 91
35.44°, rel. 77
46.70°, rel. 74
43.39°, rel. 71
29.98°, rel. 40
31.64°, rel. 33
50.42°, rel. 32
37.53°, rel. 28
28.91°, rel. 27

Atomic structure:
abc: 6.475 6.475 11.396
angles: 90.00 90.00 145.03
Sites, in units of the cell vectors:
Tm  0.177  0.823  0.750
Tm  0.823  0.177  0.250
Mn  0.000  0.000  0.000
Mn  0.000  0.000  0.500
Mn  0.194  0.806  0.046
Mn  0.194  0.806  0.454
Mn  0.427  0.573  0.635
Mn  0.427  0.573  0.865
Mn  0.573  0.427  0.135
Mn  0.573  0.427  0.365
Mn  0.806  0.194  0.546
Mn  0.806  0.194  0.954
Ge  0.123  0.877  0.250
Ge  0.385  0.615  0.074
Ge  0.385  0.615  0.426
Ge  0.615  0.385  0.574
Ge  0.615  0.385  0.926
Ge  0.877  0.123  0.750